No. 1
Starting from DFT lattice parameters and positions (GGA-PBE), the X-ray diffraction stick pattern of Bi2P3O12 was computed for Cu Kα, 1.54184 Å.

Principal peaks in the range 15° ≤ 2θ ≤ 90°, in order of falling intensity:
2theta  intensity
18.8  100
20.3  86
30.2  77
27.8  50
34.7  37
35.6  34
49.4  28
47.4  22
60.6  20
55.7  20

Atomic structure:
Cell lengths 8.7373, 8.7373, 24.1420 Å; angles 90.00, 90.00, 120.00 degrees
Space group R-3 (No. 148, hexagonal axes)
Unique sites:
Bi: 0.0000 0.0000 0.1443 (multiplicity 6)
Bi: 0.0000 0.0000 0.3451 (multiplicity 6)
P: 0.0029 0.2997 0.2515 (multiplicity 18)
O: 0.0171 0.2305 0.1944 (multiplicity 18)
O: 0.0549 0.8332 0.0846 (multiplicity 18)
O: 0.0892 0.8528 0.7049 (multiplicity 18)
O: 0.0940 0.8634 0.3978 (multiplicity 18)

No. 2
Starting from DFT lattice parameters and positions (GGA-PBE), the X-ray diffraction stick pattern of KSn5Br11 was computed for Cu Kα, 1.54184 Å.

Principal peaks in the range 15° ≤ 2θ ≤ 90°, in order of falling intensity:
2theta  intensity
29.8  100
29.5  79
32.9  64
19.4  37
37.8  30
38.4  29
46.2  25
29.7  25
22.6  24
38.8  23

Atomic structure:
Cell lengths 9.550, 15.796, 9.434 Å; angles 90.00, 105.76, 90.00 degrees
Space group C2/m (No. 12)
Unique sites:
K: 0.000 0.000 0.000 (multiplicity 2)
Sn: 0.000 0.500 0.000 (multiplicity 2)
Sn: 0.210 0.147 0.654 (multiplicity 8)
Br: 0.000 0.000 0.500 (multiplicity 2)
Br: 0.080 0.500 0.333 (multiplicity 4)
Br: 0.082 0.216 0.321 (multiplicity 8)
Br: 0.238 0.371 0.036 (multiplicity 8)